Record 1
This entry pairs a crystal structure of La2PtRh3 with its theoretical PXRD pattern. Radiation: Cu Ka. Structure: a cell relaxed with PBE.
Neutral-atom scattering factors, no anomalous dispersion.

Crystal structure
```
data_La2PtRh3
_chemical_formula_sum 'La6 Pt3 Rh9'
_space_group_name_H-M_alt 'R -3 m'
_space_group_IT_number 166
_space_group_name_Hall '-R 3 2"'
_cell_length_a 5.4882
_cell_length_b 5.4882
_cell_length_c 13.3273
_cell_angle_alpha 90.00
_cell_angle_beta 90.00
_cell_angle_gamma 120.00
loop_
_atom_site_label
_atom_site_fract_x
_atom_site_fract_y
_atom_site_fract_z
La1 0.0000 0.0000 0.1242
Pt1 0.0000 0.0000 0.5000
Rh1 0.0000 0.5000 0.0000
```

Top 10 peaks for 5° ≤ 2θ ≤ 70°, by angle:
two_theta, I/Imax, h k l
19.83, 98, 1 0 1
32.63, 350, 1 1 0
38.55, 1000, 1 1 3
38.73, 419, 0 1 5
40.29, 399, 2 0 2
40.62, 125, 0 0 6
62.21, 202, 3 0 3
62.33, 207, 1 2 5
68.37, 194, 2 2 0
68.82, 190, 2 0 8

---

Record 2
This entry pairs a crystal structure of La2Si3Pt4Rh with its theoretical PXRD pattern. Radiation: Cu Ka. Structure: a cell relaxed with PBE.
Neutral-atom scattering factors, no anomalous dispersion.

Crystal structure
```
data_La2Si3Pt4Rh
_chemical_formula_sum 'La2 Si3 Pt4 Rh1'
_space_group_name_H-M_alt 'P -4 m 2'
_space_group_IT_number 115
_cell_length_a 4.255
_cell_length_b 4.255
_cell_length_c 10.387
_cell_angle_alpha 90.00
_cell_angle_beta 90.00
_cell_angle_gamma 90.00
loop_
_space_group_symop_operation_xyz
'x,y,z'
'y,-x,-z'
'-x,-y,z'
'-y,x,-z'
'-x,y,z'
'-y,-x,-z'
'x,-y,z'
'y,x,-z'
loop_
_atom_site_label
_atom_site_fract_x
_atom_site_fract_y
_atom_site_fract_z
La1 0.000 0.500 0.242
Si1 0.000 0.000 0.000
Si2 0.000 0.500 0.624
Pt1 0.000 0.000 0.500
Pt2 0.000 0.500 0.852
Pt3 0.500 0.500 0.500
Rh1 0.500 0.500 0.000
```

Top 10 peaks for 5° ≤ 2θ ≤ 70°, by angle:
two_theta, I/Imax, h k l
25.73, 226, 0 0 3
27.09, 185, 1 0 2
30.94, 312, 1 1 1
33.36, 260, 1 0 3
34.45, 1000, 1 1 2
42.49, 500, 2 0 0
46.17, 215, 1 1 4
48.78, 212, 1 0 5
61.65, 167, 2 2 0
66.65, 167, 2 1 5